This entry pairs a crystal structure of Rb2PtC4Br2N4 with its simulated X-ray powder pattern. Radiation: copper Kα. Structure: a structure optimized by DFT (GGA-PBE).

Principal peaks in the range 10° ≤ 2θ ≤ 90°, by intensity:
2θ 13.72, I = 100.0
2θ 20.38, I = 99.0
2θ 16.44, I = 90.3
2θ 28.43, I = 49.8
2θ 20.57, I = 48.9
2θ 22.36, I = 46.2
2θ 39.54, I = 41.2
2θ 24.95, I = 41.2
2θ 28.92, I = 39.8
2θ 29.79, I = 38.5
2θ 27.35, I = 37.0
2θ 12.40, I = 37.0

Atomic structure:
```
data_Rb2PtC4Br2N4
_chemical_formula_sum 'Rb4 Pt2 C8 Br4 N8'
_cell_length_a 7.4526
_cell_length_b 9.5792
_cell_length_c 9.1157
_cell_angle_alpha 90.00
_cell_angle_beta 106.73
_cell_angle_gamma 90.00
_space_group_name_H-M_alt 'P 1'
_space_group_IT_number 1
loop_
_space_group_symop_operation_xyz
'x,y,z'
loop_
_atom_site_label
_atom_site_fract_x
_atom_site_fract_y
_atom_site_fract_z
Rb1 0.0068 0.2197 0.3802
Rb2 0.0068 0.2803 0.8802
Rb3 0.9932 0.7197 0.1198
Rb4 0.9932 0.7803 0.6198
Pt1 0.5000 0.0000 0.0000
Pt2 0.5000 0.5000 0.5000
C1 0.3016 0.0327 0.1072
C2 0.3016 0.4673 0.6072
C3 0.3108 0.0440 0.7980
C4 0.3108 0.4560 0.2980
C5 0.6892 0.5440 0.7020
C6 0.6892 0.9560 0.2020
C7 0.6984 0.5327 0.3928
C8 0.6984 0.9673 0.8928
Br1 0.4068 0.7451 0.9666
Br2 0.4068 0.7549 0.4666
Br3 0.5932 0.2451 0.5334
Br4 0.5932 0.2549 0.0334
N1 0.1825 0.0528 0.1651
N2 0.1825 0.4472 0.6651
N3 0.1956 0.0693 0.6834
N4 0.1956 0.4307 0.1834
N5 0.8044 0.5693 0.8166
N6 0.8044 0.9307 0.3166
N7 0.8175 0.5528 0.3349
N8 0.8175 0.9472 0.8349
```


This entry pairs a crystal structure of Sb2C6Br9N3 with its simulated X-ray powder pattern. Radiation: copper Kα. Structure: a structure optimized by DFT (GGA-PBE).

Principal peaks in the range 10° ≤ 2θ ≤ 90°, by intensity:
2θ 15.57, I = 100.0
2θ 31.45, I = 73.7
2θ 28.88, I = 58.7
2θ 14.32, I = 52.5
2θ 25.52, I = 35.9
2θ 26.87, I = 25.9
2θ 35.65, I = 25.3
2θ 44.08, I = 25.0
2θ 42.34, I = 24.5
2θ 26.66, I = 24.3
2θ 32.42, I = 23.6
2θ 34.92, I = 19.3

Atomic structure:
```
data_Sb2C6Br9N3
_chemical_formula_sum 'Sb4 C12 Br18 N6'
_cell_length_a 9.9672
_cell_length_b 7.9512
_cell_length_c 15.2000
_cell_angle_alpha 90.00
_cell_angle_beta 92.78
_cell_angle_gamma 90.00
_space_group_name_H-M_alt 'P 1'
_space_group_IT_number 1
loop_
_space_group_symop_operation_xyz
'x,y,z'
loop_
_atom_site_label
_atom_site_fract_x
_atom_site_fract_y
_atom_site_fract_z
Sb1 0.1551 0.0000 0.1033
Sb2 0.1767 0.5439 0.6050
Sb3 0.8233 0.0439 0.3950
Sb4 0.8449 0.5000 0.8967
C1 0.0589 0.0900 0.7077
C2 0.1273 0.4996 0.1964
C3 0.3306 0.4867 0.9568
C4 0.3406 0.0203 0.4554
C5 0.3742 0.2941 0.3774
C6 0.3947 0.2228 0.8783
C7 0.6053 0.7228 0.1217
C8 0.6258 0.7941 0.6226
C9 0.6594 0.5203 0.5446
C10 0.6694 0.9867 0.0432
C11 0.8727 0.9996 0.8036
C12 0.9411 0.5900 0.2923
Br1 0.0043 0.0070 0.2411
Br2 0.0096 0.2099 0.0124
Br3 0.0117 0.7787 0.5082
Br4 0.2839 0.6445 0.1979
Br5 0.3153 0.7902 0.6711
Br6 0.3231 0.0107 0.9154
Br7 0.3266 0.5050 0.4317
Br8 0.3492 0.1697 0.1688
Br9 0.3588 0.3266 0.6716
Br10 0.6412 0.8266 0.3284
Br11 0.6508 0.6697 0.8312
Br12 0.6734 0.0050 0.5683
Br13 0.6769 0.5107 0.0846
Br14 0.6847 0.2902 0.3289
Br15 0.7161 0.1445 0.8021
Br16 0.9883 0.2787 0.4918
Br17 0.9904 0.7099 0.9876
Br18 0.9957 0.5070 0.7589
N1 0.0386 0.5592 0.2503
N2 0.3453 0.3507 0.9232
N3 0.3514 0.1618 0.4272
N4 0.6486 0.6618 0.5728
N5 0.6547 0.8507 0.0768
N6 0.9614 0.0592 0.7497
```


This entry pairs a crystal structure of Sb2C6Br9N3 with its simulated X-ray powder pattern. Radiation: copper Kα. Structure: a structure optimized by DFT (GGA-PBE).

Principal peaks in the range 10° ≤ 2θ ≤ 90°, by intensity:
2θ 14.85, I = 100.0
2θ 29.96, I = 84.5
2θ 14.53, I = 83.7
2θ 29.29, I = 49.9
2θ 25.18, I = 49.4
2θ 12.01, I = 46.4
2θ 34.24, I = 36.3
2θ 27.45, I = 34.5
2θ 44.20, I = 31.8
2θ 34.37, I = 29.7
2θ 26.79, I = 27.8
2θ 14.24, I = 27.6

Atomic structure:
```
data_Sb2C6Br9N3
_chemical_formula_sum 'Sb4 C12 Br18 N6'
_cell_length_a 10.8487
_cell_length_b 8.6837
_cell_length_c 13.9838
_cell_angle_alpha 90.00
_cell_angle_beta 94.91
_cell_angle_gamma 90.00
_space_group_name_H-M_alt 'P 1'
_space_group_IT_number 1
loop_
_space_group_symop_operation_xyz
'x,y,z'
loop_
_atom_site_label
_atom_site_fract_x
_atom_site_fract_y
_atom_site_fract_z
Sb1 0.1267 0.0000 0.0808
Sb2 0.1599 0.3661 0.5893
Sb3 0.8401 0.8661 0.4107
Sb4 0.8733 0.5000 0.9192
C1 0.0607 0.8575 0.7260
C2 0.1623 0.4209 0.2537
C3 0.2727 0.4651 0.9452
C4 0.2798 0.9250 0.4513
C5 0.3760 0.7449 0.3381
C6 0.3966 0.6413 0.8475
C7 0.6034 0.1413 0.1525
C8 0.6240 0.2449 0.6619
C9 0.7202 0.4250 0.5487
C10 0.7273 0.9651 0.0548
C11 0.8377 0.9209 0.7463
C12 0.9393 0.3575 0.2740
Br1 0.0074 0.6877 0.4928
Br2 0.0103 0.9538 0.2464
Br3 0.0381 0.7083 0.0057
Br4 0.2486 0.2802 0.1735
Br5 0.2870 0.1687 0.6877
Br6 0.3005 0.3773 0.4446
Br7 0.3098 0.0174 0.9684
Br8 0.3483 0.7848 0.2027
Br9 0.3604 0.6402 0.7116
Br10 0.6396 0.1402 0.2884
Br11 0.6517 0.2848 0.7973
Br12 0.6902 0.5174 0.0316
Br13 0.6995 0.8773 0.5554
Br14 0.7130 0.6687 0.3123
Br15 0.7514 0.7802 0.8265
Br16 0.9619 0.2083 0.9943
Br17 0.9897 0.4538 0.7536
Br18 0.9926 0.1877 0.5072
N1 0.0471 0.3751 0.2605
N2 0.3195 0.8483 0.3884
N3 0.3248 0.5427 0.8893
N4 0.6752 0.0427 0.1107
N5 0.6805 0.3483 0.6116
N6 0.9529 0.8751 0.7395
```


This entry pairs a crystal structure of Os3C10Br2O10 with its simulated X-ray powder pattern. Radiation: copper Kα. Structure: a structure optimized by DFT (GGA-PBE).

Principal peaks in the range 10° ≤ 2θ ≤ 90°, by intensity:
2θ 12.95, I = 100.0
2θ 10.88, I = 60.1
2θ 14.18, I = 52.0
2θ 12.70, I = 29.4
2θ 30.17, I = 20.1
2θ 29.50, I = 17.9
2θ 38.95, I = 15.4
2θ 31.47, I = 13.8
2θ 21.46, I = 12.9
2θ 36.81, I = 11.3
2θ 33.81, I = 10.0
2θ 45.93, I = 9.6

Atomic structure:
```
data_Os3C10Br2O10
_chemical_formula_sum 'Os6 C20 Br4 O20'
_cell_length_a 9.3445
_cell_length_b 9.3445
_cell_length_c 14.3573
_cell_angle_alpha 102.37
_cell_angle_beta 102.37
_cell_angle_gamma 52.60
_space_group_name_H-M_alt 'P 1'
_space_group_IT_number 1
loop_
_space_group_symop_operation_xyz
'x,y,z'
loop_
_atom_site_label
_atom_site_fract_x
_atom_site_fract_y
_atom_site_fract_z
Os1 0.1573 0.8427 0.5000
Os2 0.3802 0.8147 0.6898
Os3 0.4451 0.9474 0.5429
Os4 0.8147 0.3802 0.1898
Os5 0.8427 0.1573 0.0000
Os6 0.9474 0.4451 0.0429
C1 0.0274 0.8433 0.3772
C2 0.0668 0.1735 0.2151
C3 0.1182 0.4307 0.1473
C4 0.1735 0.0668 0.7151
C5 0.2457 0.6088 0.5239
C6 0.2828 0.7201 0.7399
C7 0.4307 0.1182 0.6473
C8 0.4891 0.9817 0.8923
C9 0.4994 0.8666 0.8065
C10 0.5715 0.5740 0.1397
C11 0.5740 0.5715 0.6397
C12 0.6088 0.2457 0.0239
C13 0.6905 0.7750 0.5890
C14 0.7201 0.2828 0.2399
C15 0.7750 0.6905 0.0890
C16 0.8433 0.0274 0.8772
C17 0.8666 0.4994 0.3065
C18 0.9505 0.9594 0.5645
C19 0.9594 0.9505 0.0645
C20 0.9817 0.4891 0.3923
Br1 0.0957 0.1520 0.4859
Br2 0.1520 0.0957 0.9859
Br3 0.4411 0.7072 0.4121
Br4 0.7072 0.4411 0.9121
O1 0.0307 0.4869 0.9538
O2 0.0328 0.8193 0.1011
O3 0.0539 0.2163 0.7331
O4 0.2163 0.0539 0.2331
O5 0.2212 0.4277 0.2101
O6 0.2314 0.6638 0.7781
O7 0.3040 0.4638 0.5379
O8 0.4264 0.6817 0.1063
O9 0.4277 0.2212 0.7101
O10 0.4638 0.3040 0.0379
O11 0.4869 0.0307 0.4538
O12 0.6500 0.8089 0.8777
O13 0.6638 0.2314 0.2781
O14 0.6713 0.8421 0.1152
O15 0.6817 0.4264 0.6063
O16 0.8089 0.6500 0.3777
O17 0.8193 0.0328 0.6011
O18 0.8351 0.9495 0.8039
O19 0.8421 0.6713 0.6152
O20 0.9495 0.8351 0.3039
```


This entry pairs a crystal structure of Pb2CBr2O3 with its simulated X-ray powder pattern. Radiation: copper Kα. Structure: a structure optimized by DFT (GGA-PBE).

Principal peaks in the range 10° ≤ 2θ ≤ 90°, by intensity:
2θ 30.51, I = 100.0
2θ 19.23, I = 38.0
2θ 33.42, I = 37.4
2θ 23.46, I = 32.1
2θ 38.84, I = 21.7
2θ 48.46, I = 21.4
2θ 46.04, I = 17.2
2θ 52.30, I = 16.9
2θ 62.30, I = 16.5
2θ 39.03, I = 14.7
2θ 65.46, I = 12.6
2θ 45.38, I = 11.5

Atomic structure:
```
data_Pb2CBr2O3
_chemical_formula_sum 'Pb8 C4 Br8 O12'
_cell_length_a 8.4797
_cell_length_b 8.4797
_cell_length_c 9.2321
_cell_angle_alpha 90.00
_cell_angle_beta 90.00
_cell_angle_gamma 90.00
_space_group_name_H-M_alt 'P 1'
_space_group_IT_number 1
loop_
_space_group_symop_operation_xyz
'x,y,z'
loop_
_atom_site_label
_atom_site_fract_x
_atom_site_fract_y
_atom_site_fract_z
Pb1 0.1636 0.3364 0.2493
Pb2 0.1636 0.3364 0.7507
Pb3 0.3364 0.8364 0.2493
Pb4 0.3364 0.8364 0.7507
Pb5 0.6636 0.1636 0.2493
Pb6 0.6636 0.1636 0.7507
Pb7 0.8364 0.6636 0.2493
Pb8 0.8364 0.6636 0.7507
C1 0.1758 0.6758 0.5000
C2 0.3242 0.1758 0.5000
C3 0.6758 0.8242 0.5000
C4 0.8242 0.3242 0.5000
Br1 0.0000 0.0000 0.2634
Br2 0.0000 0.0000 0.7366
Br3 0.1502 0.6502 0.0000
Br4 0.3498 0.1502 0.0000
Br5 0.5000 0.5000 0.2634
Br6 0.5000 0.5000 0.7366
Br7 0.6502 0.8498 0.0000
Br8 0.8498 0.3498 0.0000
O1 0.1272 0.6272 0.3752
O2 0.1272 0.6272 0.6248
O3 0.2140 0.2860 0.5000
O4 0.2860 0.7860 0.5000
O5 0.3728 0.1272 0.3752
O6 0.3728 0.1272 0.6248
O7 0.6272 0.8728 0.3752
O8 0.6272 0.8728 0.6248
O9 0.7140 0.2140 0.5000
O10 0.7860 0.7140 0.5000
O11 0.8728 0.3728 0.3752
O12 0.8728 0.3728 0.6248
```


This entry pairs a crystal structure of PrC2BrO7 with its simulated X-ray powder pattern. Radiation: copper Kα. Structure: a structure optimized by DFT (GGA-PBE).

Principal peaks in the range 10° ≤ 2θ ≤ 90°, by intensity:
2θ 16.65, I = 100.0
2θ 22.00, I = 81.8
2θ 16.25, I = 71.7
2θ 15.08, I = 69.7
2θ 11.89, I = 48.3
2θ 31.12, I = 46.3
2θ 26.74, I = 36.1
2θ 35.85, I = 31.9
2θ 34.18, I = 29.3
2θ 24.65, I = 26.5
2θ 42.45, I = 26.2
2θ 31.44, I = 19.8

Atomic structure:
```
data_PrC2BrO7
_chemical_formula_sum 'Pr4 C8 Br4 O28'
_cell_length_a 6.0665
_cell_length_b 16.5845
_cell_length_c 8.9919
_cell_angle_alpha 90.00
_cell_angle_beta 112.11
_cell_angle_gamma 90.00
_space_group_name_H-M_alt 'P 1'
_space_group_IT_number 1
loop_
_space_group_symop_operation_xyz
'x,y,z'
loop_
_atom_site_label
_atom_site_fract_x
_atom_site_fract_y
_atom_site_fract_z
Pr1 0.1607 0.1079 0.1475
Pr2 0.1607 0.3921 0.6475
Pr3 0.8393 0.6079 0.3525
Pr4 0.8393 0.8921 0.8525
C1 0.3009 0.5743 0.9342
C2 0.3009 0.9257 0.4342
C3 0.3984 0.5300 0.4551
C4 0.3984 0.9700 0.9551
C5 0.6016 0.0300 0.0449
C6 0.6016 0.4700 0.5449
C7 0.6991 0.0743 0.5658
C8 0.6991 0.4257 0.0658
Br1 0.3081 0.2138 0.6304
Br2 0.3081 0.2862 0.1304
Br3 0.6919 0.7138 0.8696
Br4 0.6919 0.7862 0.3696
O1 0.0771 0.1831 0.9165
O2 0.0771 0.3169 0.4165
O3 0.0838 0.7249 0.4110
O4 0.0838 0.7751 0.9110
O5 0.0871 0.1483 0.3760
O6 0.0871 0.3517 0.8760
O7 0.1928 0.5382 0.8162
O8 0.1928 0.9618 0.3162
O9 0.2052 0.5211 0.4803
O10 0.2052 0.9789 0.9803
O11 0.4152 0.6067 0.0537
O12 0.4152 0.8933 0.5537
O13 0.4345 0.5817 0.3654
O14 0.4345 0.9183 0.8654
O15 0.5655 0.0817 0.1346
O16 0.5655 0.4183 0.6346
O17 0.5848 0.1067 0.4463
O18 0.5848 0.3933 0.9463
O19 0.7948 0.0211 0.0197
O20 0.7948 0.4789 0.5197
O21 0.8072 0.0382 0.6838
O22 0.8072 0.4618 0.1838
O23 0.9129 0.6483 0.1240
O24 0.9129 0.8517 0.6240
O25 0.9162 0.2249 0.0890
O26 0.9162 0.2751 0.5890
O27 0.9229 0.6831 0.5835
O28 0.9229 0.8169 0.0835
```


This entry pairs a crystal structure of PrC2BrO7 with its simulated X-ray powder pattern. Radiation: copper Kα. Structure: a structure optimized by DFT (GGA-PBE).

Principal peaks in the range 10° ≤ 2θ ≤ 90°, by intensity:
2θ 14.37, I = 100.0
2θ 15.14, I = 85.2
2θ 15.96, I = 83.4
2θ 16.50, I = 62.7
2θ 29.90, I = 54.5
2θ 30.97, I = 50.0
2θ 21.21, I = 47.4
2θ 11.42, I = 43.8
2θ 25.63, I = 38.7
2θ 22.97, I = 35.7
2θ 32.19, I = 34.4
2θ 18.24, I = 29.2

Atomic structure:
```
data_PrC2BrO7
_chemical_formula_sum 'Pr4 C8 Br4 O28'
_cell_length_a 6.1021
_cell_length_b 17.6156
_cell_length_c 8.9938
_cell_angle_alpha 90.00
_cell_angle_beta 106.42
_cell_angle_gamma 90.00
_space_group_name_H-M_alt 'P 1'
_space_group_IT_number 1
loop_
_space_group_symop_operation_xyz
'x,y,z'
loop_
_atom_site_label
_atom_site_fract_x
_atom_site_fract_y
_atom_site_fract_z
Pr1 0.1430 0.0975 0.1449
Pr2 0.1430 0.4025 0.6449
Pr3 0.8570 0.5975 0.3551
Pr4 0.8570 0.9025 0.8551
C1 0.2796 0.5775 0.9338
C2 0.2796 0.9225 0.4338
C3 0.4051 0.5272 0.4529
C4 0.4051 0.9728 0.9529
C5 0.5949 0.0272 0.0471
C6 0.5949 0.4728 0.5471
C7 0.7204 0.0775 0.5662
C8 0.7204 0.4225 0.0662
Br1 0.1279 0.2051 0.5232
Br2 0.1279 0.2949 0.0232
Br3 0.8721 0.7051 0.9768
Br4 0.8721 0.7949 0.4768
O1 0.0203 0.7169 0.3884
O2 0.0203 0.7831 0.8884
O3 0.1230 0.1665 0.9272
O4 0.1230 0.3335 0.4272
O5 0.1575 0.1210 0.4066
O6 0.1575 0.3790 0.9066
O7 0.2001 0.5421 0.8199
O8 0.2001 0.9579 0.3199
O9 0.2068 0.5182 0.4729
O10 0.2068 0.9818 0.9729
O11 0.3609 0.6120 0.0470
O12 0.3609 0.8880 0.5470
O13 0.4560 0.5750 0.3651
O14 0.4560 0.9250 0.8651
O15 0.5440 0.0750 0.1349
O16 0.5440 0.4250 0.6349
O17 0.6391 0.1120 0.4530
O18 0.6391 0.3880 0.9530
O19 0.7932 0.0182 0.0271
O20 0.7932 0.4818 0.5271
O21 0.7999 0.0421 0.6801
O22 0.7999 0.4579 0.1801
O23 0.8425 0.6210 0.0934
O24 0.8425 0.8790 0.5934
O25 0.8770 0.6665 0.5728
O26 0.8770 0.8335 0.0728
O27 0.9797 0.2169 0.1116
O28 0.9797 0.2831 0.6116
```


This entry pairs a crystal structure of RuC3Br2O3 with its simulated X-ray powder pattern. Radiation: copper Kα. Structure: a structure optimized by DFT (GGA-PBE).

Principal peaks in the range 10° ≤ 2θ ≤ 90°, by intensity:
2θ 14.54, I = 100.0
2θ 30.78, I = 77.8
2θ 17.00, I = 42.4
2θ 45.70, I = 39.9
2θ 32.94, I = 38.3
2θ 29.34, I = 33.9
2θ 37.94, I = 23.3
2θ 22.25, I = 23.0
2θ 26.16, I = 22.9
2θ 38.07, I = 15.7
2θ 19.34, I = 13.8
2θ 51.17, I = 13.6

Atomic structure:
```
data_RuC3Br2O3
_chemical_formula_sum 'Ru2 C6 Br4 O6'
_cell_length_a 6.6067
_cell_length_b 6.6067
_cell_length_c 9.5667
_cell_angle_alpha 103.40
_cell_angle_beta 103.40
_cell_angle_gamma 69.21
_space_group_name_H-M_alt 'P 1'
_space_group_IT_number 1
loop_
_space_group_symop_operation_xyz
'x,y,z'
loop_
_atom_site_label
_atom_site_fract_x
_atom_site_fract_y
_atom_site_fract_z
Ru1 0.0634 0.0634 0.2113
Ru2 0.9366 0.9366 0.7887
C1 0.0911 0.7214 0.6478
C2 0.2378 0.2378 0.2024
C3 0.2786 0.9089 0.3522
C4 0.7214 0.0911 0.6478
C5 0.7622 0.7622 0.7976
C6 0.9089 0.2786 0.3522
Br1 0.1710 0.1710 0.7745
Br2 0.2373 0.7627 0.0000
Br3 0.7627 0.2373 0.0000
Br4 0.8290 0.8290 0.2255
O1 0.1913 0.5902 0.5654
O2 0.3444 0.3444 0.2055
O3 0.4098 0.8087 0.4346
O4 0.5902 0.1913 0.5654
O5 0.6556 0.6556 0.7945
O6 0.8087 0.4098 0.4346
```